1.
Starting from a DFT-relaxed cell (PBE, Alexandria), the powder diffractogram of Hg2SO6 was simulated for Cu Kα (weighted mean of Kα1 and Kα2).
Lines closer than 0.1° are merged.

Top 10 peaks for 2θ from 10° to 80°, sorted by position:
2θ/deg, Rel. int.
20.26, 31
25.61, 100
33.26, 86
36.53, 27
42.12, 18
50.23, 62
52.62, 16
59.41, 16
63.70, 32
75.71, 17

Atomic structure:
Lattice parameters (Å, degrees): 4.920 4.920 9.656 90.00 90.00 90.00
Space group P4_2/mnm (No. 136)
Symmetry-distinct sites (fractional):
Hg  0.000  0.000  0.166 (multiplicity 4)
S  0.000  0.000  0.500 (multiplicity 2)
O  0.166  0.166  0.376 (multiplicity 8)
O  0.240  0.760  0.500 (multiplicity 4)

2.
Starting from a DFT-relaxed cell (PBE, Alexandria), the powder diffractogram of HgS2O7 was simulated for Cu Kα (weighted mean of Kα1 and Kα2).
Lines closer than 0.1° are merged.

Top 10 peaks for 2θ from 10° to 80°, sorted by position:
2θ/deg, Rel. int.
12.37, 17
16.89, 52
20.98, 19
21.29, 100
22.02, 49
30.46, 21
33.30, 35
33.53, 22
39.86, 18
40.49, 26

Atomic structure:
Lattice parameters (Å, degrees): 5.345 13.380 9.865 90.00 120.86 90.00
Space group P2_1/c (No. 14)
Symmetry-distinct sites (fractional):
Hg  0.129  0.151  0.324 (multiplicity 4)
S  0.275  0.684  0.593 (multiplicity 4)
S  0.368  0.024  0.693 (multiplicity 4)
O  0.002  0.674  0.443 (multiplicity 4)
O  0.206  0.511  0.266 (multiplicity 4)
O  0.228  0.108  0.584 (multiplicity 4)
O  0.247  0.743  0.710 (multiplicity 4)
O  0.321  0.567  0.658 (multiplicity 4)
O  0.468  0.555  0.129 (multiplicity 4)
O  0.469  0.208  0.917 (multiplicity 4)

3.
Starting from a DFT-relaxed cell (PBE, Alexandria), the powder diffractogram of Hg3SO6 was simulated for Cu Kα (weighted mean of Kα1 and Kα2).
Lines closer than 0.1° are merged.

Top 10 peaks for 2θ from 10° to 80°, sorted by position:
2θ/deg, Rel. int.
16.54, 18
25.09, 54
30.01, 100
33.43, 58
44.87, 34
50.99, 17
52.10, 17
54.00, 9
57.65, 22
60.30, 9

Atomic structure:
Lattice parameters (Å, degrees): 7.1642 7.1642 10.6465 90.00 90.00 120.00
Space group P3_1 (No. 144)
Symmetry-distinct sites (fractional):
Hg  0.0270  0.1675  0.0000 (multiplicity 3)
Hg  0.0398  0.6691  0.9947 (multiplicity 3)
Hg  0.5280  0.1682  0.9786 (multiplicity 3)
S  0.1085  0.4302  0.6510 (multiplicity 3)
O  0.0020  0.1896  0.2762 (multiplicity 3)
O  0.0152  0.2608  0.7514 (multiplicity 3)
O  0.1307  0.7288  0.2438 (multiplicity 3)
O  0.2088  0.6475  0.7098 (multiplicity 3)
O  0.4664  0.0686  0.2288 (multiplicity 3)
O  0.4777  0.1402  0.7050 (multiplicity 3)

4.
Starting from a DFT-relaxed cell (PBE, Alexandria), the powder diffractogram of ThHgS2O8 was simulated for Cu Kα (weighted mean of Kα1 and Kα2).
Lines closer than 0.1° are merged.

Top 10 peaks for 2θ from 10° to 80°, sorted by position:
2θ/deg, Rel. int.
17.66, 81
19.63, 19
26.52, 100
30.84, 41
36.82, 28
41.12, 32
43.90, 24
47.93, 18
51.23, 16
52.27, 31

Atomic structure:
Lattice parameters (Å, degrees): 5.7987 5.7987 9.0467 90.00 90.00 120.00
Space group P-3m1 (No. 164)
Symmetry-distinct sites (fractional):
Th  0.0000  0.0000  0.0000 (multiplicity 1)
Hg  0.0000  0.0000  0.5000 (multiplicity 1)
S  0.3333  0.6667  0.8003 (multiplicity 2)
O  0.1947  0.3893  0.8660 (multiplicity 6)
O  0.3333  0.6667  0.6429 (multiplicity 2)

5.
Starting from a DFT-relaxed cell (PBE, Alexandria), the powder diffractogram of HgSb2O4 was simulated for Cu Kα (weighted mean of Kα1 and Kα2).
Lines closer than 0.1° are merged.

Top 10 peaks for 2θ from 10° to 80°, sorted by position:
2θ/deg, Rel. int.
20.86, 100
22.21, 43
23.50, 58
25.44, 65
27.43, 58
28.47, 71
28.71, 60
29.77, 73
31.28, 46
34.29, 60

Atomic structure:
Lattice parameters (Å, degrees): 6.786 6.964 7.094 89.56 63.22 73.43
Space group P1 (No. 1)
Symmetry-distinct sites (fractional):
Hg  0.000  0.000  0.000 (multiplicity 1)
Hg  0.399  0.674  0.315 (multiplicity 1)
Sb  0.186  0.303  0.249 (multiplicity 1)
Sb  0.190  0.364  0.700 (multiplicity 1)
Sb  0.611  0.866  0.851 (multiplicity 1)
Sb  0.657  0.360  0.706 (multiplicity 1)
O  0.118  0.555  0.479 (multiplicity 1)
O  0.259  0.978  0.089 (multiplicity 1)
O  0.296  0.159  0.442 (multiplicity 1)
O  0.387  0.546  0.667 (multiplicity 1)
O  0.488  0.163  0.714 (multiplicity 1)
O  0.677  0.747  0.086 (multiplicity 1)
O  0.776  0.060  0.870 (multiplicity 1)
O  0.862  0.295  0.391 (multiplicity 1)

6.
Starting from a DFT-relaxed cell (PBE, Alexandria), the powder diffractogram of HgSbO4 was simulated for Cu Kα (weighted mean of Kα1 and Kα2).
Lines closer than 0.1° are merged.

Top 10 peaks for 2θ from 10° to 80°, sorted by position:
2θ/deg, Rel. int.
24.85, 100
29.01, 35
31.54, 40
34.51, 21
34.83, 19
36.02, 13
44.63, 24
45.94, 14
49.85, 14
52.37, 16

Atomic structure:
Lattice parameters (Å, degrees): 12.330 5.151 5.597 90.00 93.14 90.00
Space group C2/c (No. 15)
Symmetry-distinct sites (fractional):
Hg  0.000  0.210  0.250 (multiplicity 4)
Sb  0.250  0.250  0.000 (multiplicity 4)
O  0.090  0.188  0.950 (multiplicity 8)
O  0.218  0.421  0.313 (multiplicity 8)